(1)
Simulated powder diffractogram
Compound: Na4Eu2GeAs4
Radiation: CuKα
Structure: a crystal structure in Alexandria, relaxed with PBE

Most intense lines, 2θ from 10° to 90°, low angle first:
2θ 10.61, intensity 100, (1 1 0)
2θ 15.83, intensity 31, (1 1 -1)
2θ 30.42, intensity 12, (3 1 -1)
2θ 30.81, intensity 13, (1 5 -1)
2θ 31.09, intensity 10, (1 5 1)
2θ 31.24, intensity 13, (3 1 1)
2θ 31.97, intensity 34, (2 2 -2)
2θ 32.55, intensity 33, (0 4 2)
2θ 33.04, intensity 35, (2 2 2)
2θ 34.89, intensity 13, (3 3 1)
2θ 37.33, intensity 22, (4 0 0)
2θ 37.44, intensity 50, (2 6 0)

abc: 9.642 16.625 7.345
angles: 90.00 92.13 90.00
Space group Cc (No. 9)
Inequivalent atoms, fractional coordinates:
Na1 0.000 0.072 0.000 (multiplicity 4)
Na2 0.082 0.423 0.554 (multiplicity 4)
Na3 0.085 0.234 0.710 (multiplicity 4)
Na4 0.298 0.354 0.031 (multiplicity 4)
Eu1 0.006 0.261 0.211 (multiplicity 4)
Eu2 0.287 0.022 0.705 (multiplicity 4)
Ge1 0.297 0.166 0.326 (multiplicity 4)
As1 0.005 0.408 0.950 (multiplicity 4)
As2 0.077 0.094 0.414 (multiplicity 4)
As3 0.288 0.307 0.430 (multiplicity 4)
As4 0.296 0.162 0.980 (multiplicity 4)

---

(2)
Simulated powder diffractogram
Compound: HfSnRh6
Radiation: CuKα
Structure: a crystal structure in Alexandria, relaxed with PBE

Most intense lines, 2θ from 10° to 90°, low angle first:
2θ 27.36, intensity 3, (1 1 1)
2θ 39.37, intensity 100, (1 2 2)
2θ 44.88, intensity 16, (0 0 4)
2θ 45.09, intensity 17, (2 0 0)
2θ 47.34, intensity 15, (0 4 0)
2θ 65.50, intensity 10, (2 0 4)
2θ 67.28, intensity 9, (0 4 4)
2θ 67.44, intensity 10, (2 4 0)
2θ 79.03, intensity 10, (1 2 6)
2θ 79.33, intensity 13, (3 2 2)
2θ 82.63, intensity 12, (1 6 2)
2θ 84.71, intensity 10, (2 4 4)

abc: 4.022 7.681 8.079
angles: 90.00 90.00 90.00
Space group Amm2 (No. 38)
Inequivalent atoms, fractional coordinates:
Hf1 0.000 0.000 0.000 (multiplicity 2)
Sn1 0.500 0.000 0.294 (multiplicity 2)
Rh1 0.000 0.000 0.530 (multiplicity 2)
Rh2 0.000 0.249 0.265 (multiplicity 4)
Rh3 0.500 0.000 0.765 (multiplicity 2)
Rh4 0.500 0.246 0.028 (multiplicity 4)

---

(3)
Simulated powder diffractogram
Compound: KPH2Rh2
Radiation: CuKα
Structure: a crystal structure in Alexandria, relaxed with PBE

Most intense lines, 2θ from 10° to 90°, low angle first:
2θ 13.90, intensity 44, (0 0 1)
2θ 14.16, intensity 50, (1 0 0)
2θ 16.95, intensity 100, (1 0 -1)
2θ 28.00, intensity 23, (0 0 2)
2θ 28.54, intensity 18, (2 0 0)
2θ 34.29, intensity 18, (2 0 -2)
2θ 34.90, intensity 17, (1 0 2)
2θ 35.23, intensity 18, (2 0 1)
2θ 36.97, intensity 44, (1 2 -1)
2θ 39.95, intensity 25, (1 2 1)
2θ 48.04, intensity 19, (2 2 -2)
2θ 48.50, intensity 18, (1 2 2)

abc: 6.499 5.493 6.621
angles: 90.00 105.75 90.00
Space group P2_1/m (No. 11)
Inequivalent atoms, fractional coordinates:
K1 0.194 0.250 0.301 (multiplicity 2)
P1 0.379 0.750 0.103 (multiplicity 2)
H1 0.154 0.250 0.737 (multiplicity 2)
H2 0.260 0.750 0.644 (multiplicity 2)
Rh1 0.328 0.000 0.817 (multiplicity 4)

---

(4)
Simulated powder diffractogram
Compound: PmPuAl
Radiation: CuKα
Structure: a crystal structure in Alexandria, relaxed with PBE

Most intense lines, 2θ from 10° to 90°, low angle first:
2θ 15.06, intensity 15, (0 0 2)
2θ 25.40, intensity 58, (1 0 1)
2θ 30.38, intensity 18, (0 0 4)
2θ 33.42, intensity 100, (1 0 3)
2θ 34.52, intensity 51, (1 1 0)
2θ 46.64, intensity 22, (1 1 4)
2θ 49.62, intensity 18, (2 0 0)
2θ 56.55, intensity 14, (2 1 1)
2θ 59.01, intensity 15, (1 1 6)
2θ 60.57, intensity 14, (1 0 7)
2θ 61.15, intensity 36, (2 1 3)
2θ 82.00, intensity 12, (2 1 7)

abc: 3.674 3.674 11.768
angles: 90.00 90.00 90.00
Space group I4mm (No. 107)
Inequivalent atoms, fractional coordinates:
Pm1 0.000 0.000 0.000 (multiplicity 2)
Pu1 0.000 0.000 0.702 (multiplicity 2)
Al1 0.000 0.000 0.345 (multiplicity 2)

---

(5)
Simulated powder diffractogram
Compound: Na4Np3CuS8
Radiation: CuKα
Structure: a crystal structure in Alexandria, relaxed with PBE

Most intense lines, 2θ from 10° to 90°, low angle first:
2θ 13.33, intensity 100, (0 0 1)
2θ 26.58, intensity 51, (4 0 -1)
2θ 26.85, intensity 14, (0 0 2)
2θ 27.71, intensity 38, (2 2 0)
2θ 31.86, intensity 98, (4 0 0)
2θ 34.67, intensity 22, (2 2 1)
2θ 41.36, intensity 23, (2 2 -3)
2θ 45.12, intensity 35, (2 2 2)
2θ 46.23, intensity 34, (0 4 0)
2θ 48.33, intensity 25, (6 2 -3)
2θ 57.24, intensity 18, (4 4 0)
2θ 74.89, intensity 15, (6 2 2)

abc: 13.617 7.849 8.043
angles: 90.00 124.34 90.00
Space group C2/m (No. 12)
Inequivalent atoms, fractional coordinates:
Na1 0.000 0.000 0.000 (multiplicity 2)
Na2 0.000 0.500 0.000 (multiplicity 2)
Na3 0.250 0.250 0.000 (multiplicity 4)
Np1 0.000 0.000 0.500 (multiplicity 2)
Np2 0.250 0.250 0.500 (multiplicity 4)
Cu1 0.000 0.500 0.500 (multiplicity 2)
S1 0.010 0.252 0.280 (multiplicity 8)
S2 0.240 0.500 0.721 (multiplicity 4)
S3 0.243 0.000 0.729 (multiplicity 4)

---

(6)
Simulated powder diffractogram
Compound: Ac2SnPt3
Radiation: CuKα
Structure: a crystal structure in Alexandria, relaxed with PBE

Most intense lines, 2θ from 10° to 90°, low angle first:
2θ 30.62, intensity 100, (2 2 2)
2θ 30.75, intensity 51, (2 0 4)
2θ 38.79, intensity 28, (0 4 0)
2θ 39.09, intensity 55, (0 2 6)
2θ 42.47, intensity 21, (4 0 0)
2θ 50.29, intensity 26, (2 4 4)
2θ 50.61, intensity 13, (2 0 8)
2θ 58.86, intensity 17, (4 4 0)
2θ 59.08, intensity 33, (4 2 6)
2θ 65.75, intensity 13, (2 2 10)
2θ 70.41, intensity 24, (0 6 6)
2θ 85.83, intensity 12, (4 6 6)

abc: 8.514 9.286 15.928
angles: 90.00 90.00 90.00
Space group Fmmm (No. 69)
Inequivalent atoms, fractional coordinates:
Ac1 0.236 0.000 0.000 (multiplicity 8)
Ac2 0.250 0.250 0.250 (multiplicity 8)
Sn1 0.000 0.000 0.335 (multiplicity 8)
Pt1 0.000 0.000 0.167 (multiplicity 8)
Pt2 0.000 0.249 0.084 (multiplicity 16)

---

(7)
Simulated powder diffractogram
Compound: TbNdDy3In
Radiation: CuKα
Structure: a crystal structure in Alexandria, relaxed with PBE

Most intense lines, 2θ from 10° to 90°, low angle first:
2θ 27.18, intensity 11, (5 1 0)
2θ 31.75, intensity 100, (5 1 1)
2θ 32.00, intensity 99, (3 1 -2)
2θ 34.10, intensity 46, (0 2 0)
2θ 34.48, intensity 39, (8 0 -1)
2θ 41.88, intensity 20, (2 0 3)
2θ 49.28, intensity 28, (8 2 -1)
2θ 55.07, intensity 18, (2 2 3)
2θ 59.58, intensity 17, (5 3 1)
2θ 59.71, intensity 21, (3 3 -2)
2θ 59.92, intensity 12, (13 1 0)
2θ 60.38, intensity 15, (11 1 -3)

abc: 21.296 5.258 6.948
angles: 90.00 99.68 90.00
Space group C2/m (No. 12)
Inequivalent atoms, fractional coordinates:
Tb1 0.191 0.000 0.060 (multiplicity 4)
Nd1 0.074 0.500 0.158 (multiplicity 4)
Dy1 0.033 0.000 0.778 (multiplicity 4)
Dy2 0.143 0.500 0.719 (multiplicity 4)
Dy3 0.243 0.500 0.357 (multiplicity 4)
In1 0.116 0.000 0.434 (multiplicity 4)

---

(8)
Simulated powder diffractogram
Compound: PaSi3Rh5
Radiation: CuKα
Structure: a crystal structure in Alexandria, relaxed with PBE

Most intense lines, 2θ from 10° to 90°, low angle first:
2θ 25.64, intensity 74, (0 2 3)
2θ 32.22, intensity 100, (1 3 0)
2θ 32.80, intensity 98, (1 1 3)
2θ 33.02, intensity 73, (1 3 1)
2θ 35.31, intensity 53, (1 3 2)
2θ 37.99, intensity 88, (1 1 4)
2θ 44.48, intensity 39, (0 6 1)
2θ 45.64, intensity 30, (0 2 6)
2θ 46.21, intensity 66, (1 5 2)
2θ 48.47, intensity 48, (2 0 0)
2θ 50.35, intensity 23, (1 1 6)
2θ 67.88, intensity 22, (2 6 1)

abc: 3.756 12.384 12.592
angles: 90.00 90.00 90.00
Space group Cmcm (No. 63)
Inequivalent atoms, fractional coordinates:
Pa1 0.000 0.127 0.250 (multiplicity 4)
Si1 0.000 0.126 0.750 (multiplicity 4)
Si2 0.000 0.381 0.532 (multiplicity 8)
Rh1 0.000 0.000 0.000 (multiplicity 4)
Rh2 0.000 0.203 0.578 (multiplicity 8)
Rh3 0.000 0.461 0.149 (multiplicity 8)

---

(9)
Simulated powder diffractogram
Compound: CeHo3Tm2S6
Radiation: CuKα
Structure: a crystal structure in Alexandria, relaxed with PBE

Most intense lines, 2θ from 10° to 90°, low angle first:
2θ 27.99, intensity 42, (2 0 2)
2θ 28.13, intensity 41, (3 1 0)
2θ 32.52, intensity 100, (1 1 -2)
2θ 46.45, intensity 12, (2 0 -4)
2θ 46.60, intensity 24, (5 1 2)
2θ 46.71, intensity 24, (7 1 -2)
2θ 46.82, intensity 12, (0 2 0)
2θ 55.20, intensity 17, (1 1 4)
2θ 55.41, intensity 23, (2 2 2)
2θ 58.17, intensity 12, (6 2 0)
2θ 68.10, intensity 11, (2 2 -4)
2θ 77.44, intensity 10, (4 2 4)

abc: 16.959 3.881 7.820
angles: 90.00 103.15 90.00
Space group C2/m (No. 12)
Inequivalent atoms, fractional coordinates:
Ce1 0.000 0.000 0.000 (multiplicity 2)
Ho1 0.000 0.000 0.500 (multiplicity 2)
Ho2 0.163 0.500 0.835 (multiplicity 4)
Tm1 0.165 0.500 0.329 (multiplicity 4)
S1 0.002 0.500 0.260 (multiplicity 4)
S2 0.169 0.000 0.581 (multiplicity 4)
S3 0.171 0.000 0.089 (multiplicity 4)

---

(10)
Simulated powder diffractogram
Compound: Rb4Au3F12
Radiation: CuKα
Structure: a crystal structure in Alexandria, relaxed with PBE

Most intense lines, 2θ from 10° to 90°, low angle first:
2θ 12.82, intensity 31, (1 1 0)
2θ 18.17, intensity 11, (2 0 0)
2θ 22.30, intensity 18, (2 1 1)
2θ 25.81, intensity 100, (2 2 0)
2θ 28.92, intensity 7, (3 1 0)
2θ 36.82, intensity 19, (4 0 0)
2θ 39.14, intensity 7, (3 3 0)
2θ 45.51, intensity 51, (4 2 2)
2θ 53.06, intensity 13, (4 4 0)
2θ 59.91, intensity 22, (6 0 2)
2θ 72.43, intensity 22, (6 2 4)
2θ 84.13, intensity 13, (6 6 0)

abc: 9.764 9.764 9.764
angles: 90.00 90.00 90.00
Space group Im-3 (No. 204)
Inequivalent atoms, fractional coordinates:
Rb1 0.250 0.250 0.250 (multiplicity 8)
Au1 0.000 0.000 0.500 (multiplicity 6)
F1 0.000 0.354 0.146 (multiplicity 24)

---

(11)
Simulated powder diffractogram
Compound: PmPtBr6
Radiation: CuKα
Structure: a crystal structure in Alexandria, relaxed with PBE

Most intense lines, 2θ from 10° to 90°, low angle first:
2θ 17.16, intensity 51, (0 1 0)
2θ 18.08, intensity 100, (1 0 -1)
2θ 23.52, intensity 28, (1 0 1)
2θ 24.65, intensity 23, (0 1 2)
2θ 28.37, intensity 30, (1 -1 0)
2θ 29.86, intensity 39, (-1 1 2)
2θ 30.86, intensity 36, (2 1 -1)
2θ 37.42, intensity 25, (1 -1 1)
2θ 39.79, intensity 38, (1 2 3)
2θ 45.14, intensity 25, (0 3 2)
2θ 45.53, intensity 31, (3 0 -1)
2θ 47.65, intensity 21, (3 3 1)

abc: 6.701 6.751 7.261
angles: 62.42 89.70 63.30
Space group P-1 (No. 2)
Inequivalent atoms, fractional coordinates:
Pm1 0.000 0.000 0.000 (multiplicity 1)
Pt1 0.500 0.000 0.500 (multiplicity 1)
Br1 0.098 0.481 0.254 (multiplicity 2)
Br2 0.279 0.819 0.738 (multiplicity 2)
Br3 0.435 0.841 0.267 (multiplicity 2)

---

(12)
Simulated powder diffractogram
Compound: Ba2Si3Pt12Au
Radiation: CuKα
Structure: a crystal structure in Alexandria, relaxed with PBE

Most intense lines, 2θ from 10° to 90°, low angle first:
2θ 22.19, intensity 20, (1 0 4)
2θ 25.52, intensity 11, (1 1 3)
2θ 31.01, intensity 100, (0 2 4)
2θ 34.25, intensity 12, (1 2 2)
2θ 37.98, intensity 13, (2 1 4)
2θ 43.56, intensity 60, (2 2 0)
2θ 45.28, intensity 51, (2 0 8)
2θ 54.43, intensity 17, (4 0 4)
2θ 64.64, intensity 16, (0 4 8)
2θ 72.16, intensity 13, (2 4 4)
2θ 74.66, intensity 10, (2 2 12)
2θ 81.20, intensity 14, (4 2 8)

abc: 8.3107 8.3107 19.2863
angles: 90.00 90.00 120.00
Space group R-3m (No. 166, hexagonal axes)
Inequivalent atoms, fractional coordinates:
Ba1 0.0000 0.0000 0.1131 (multiplicity 6)
Si1 0.0000 0.5000 0.0000 (multiplicity 9)
Pt1 0.0037 0.5019 0.8801 (multiplicity 18)
Pt2 0.0388 0.5194 0.3666 (multiplicity 18)
Au1 0.0000 0.0000 0.5000 (multiplicity 3)